Entry 1:
Simulated XRD peak list of Li7Co5O12 for λ = 1.5418 Å (Cu Kα), from a structure optimized by DFT (PBE+U).
Intensities are scaled so that the largest is 100.

Structural model:
```
data_Li7Co5O12
_chemical_formula_sum 'Li7 Co5 O12'
_cell_length_a 5.063
_cell_length_b 2.993
_cell_length_c 14.215
_cell_angle_alpha 90.00
_cell_angle_beta 93.10
_cell_angle_gamma 90.00
_space_group_name_H-M_alt 'P 1'
_space_group_IT_number 1
loop_
_space_group_symop_operation_xyz
'x,y,z'
loop_
_atom_site_label
_atom_site_fract_x
_atom_site_fract_y
_atom_site_fract_z
Li1 0.000 0.000 0.000
Li2 0.000 0.000 0.500
Li3 0.169 0.500 0.168
Li4 0.330 0.000 0.333
Li5 0.500 0.500 0.500
Li6 0.670 0.000 0.667
Li7 0.831 0.500 0.832
Co1 0.167 0.500 0.659
Co2 0.321 0.000 0.832
Co3 0.500 0.500 0.000
Co4 0.679 0.000 0.168
Co5 0.833 0.500 0.341
O1 0.017 0.000 0.750
O2 0.129 0.500 0.407
O3 0.181 0.500 0.918
O4 0.326 0.000 0.589
O5 0.360 0.000 0.085
O6 0.461 0.500 0.747
O7 0.539 0.500 0.253
O8 0.640 0.000 0.915
O9 0.674 0.000 0.411
O10 0.819 0.500 0.082
O11 0.871 0.500 0.593
O12 0.983 0.000 0.250
```

Peak list (8 most intense, 2θ = 10–90°, sorted by position)
2θ 18.3, rel. 100; 2θ 35.5, rel. 33; 2θ 37.1, rel. 14; 2θ 42.8, rel. 61; 2θ 45.2, rel. 24; 2θ 56.5, rel. 9; 2θ 63.3, rel. 16; 2θ 64.6, rel. 14

Entry 2:
Simulated XRD peak list of SrEuMgWO6 for λ = 1.5418 Å (Cu Kα), from a structure optimized by DFT (PBE+U).
Intensities are scaled so that the largest is 100.

Structural model:
```
data_SrEuMgWO6
_chemical_formula_sum 'Sr1 Eu1 Mg1 W1 O6'
_cell_length_a 5.668
_cell_length_b 5.668
_cell_length_c 5.668
_cell_angle_alpha 60.00
_cell_angle_beta 60.00
_cell_angle_gamma 60.00
_space_group_name_H-M_alt 'P 1'
_space_group_IT_number 1
loop_
_space_group_symop_operation_xyz
'x,y,z'
loop_
_atom_site_label
_atom_site_fract_x
_atom_site_fract_y
_atom_site_fract_z
Sr1 0.000 0.000 0.000
Eu1 0.500 0.500 0.500
Mg1 0.750 0.750 0.750
W1 0.250 0.250 0.250
O1 0.006 0.006 0.494
O2 0.006 0.494 0.006
O3 0.006 0.494 0.494
O4 0.494 0.006 0.006
O5 0.494 0.006 0.494
O6 0.494 0.494 0.006
```

Peak list (8 most intense, 2θ = 10–90°, sorted by position)
2θ 19.2, rel. 38; 2θ 31.6, rel. 100; 2θ 37.2, rel. 21; 2θ 45.2, rel. 31; 2θ 49.6, rel. 9; 2θ 56.2, rel. 40; 2θ 65.9, rel. 19; 2θ 74.9, rel. 18

Entry 3:
Simulated XRD peak list of EuCrSnBiO6 for λ = 1.5418 Å (Cu Kα), from a structure optimized by DFT (PBE+U).
Intensities are scaled so that the largest is 100.

Structural model:
```
data_EuCrSnBiO6
_chemical_formula_sum 'Eu1 Cr1 Sn1 Bi1 O6'
_cell_length_a 5.673
_cell_length_b 5.673
_cell_length_c 5.673
_cell_angle_alpha 60.00
_cell_angle_beta 60.00
_cell_angle_gamma 60.00
_space_group_name_H-M_alt 'P 1'
_space_group_IT_number 1
loop_
_space_group_symop_operation_xyz
'x,y,z'
loop_
_atom_site_label
_atom_site_fract_x
_atom_site_fract_y
_atom_site_fract_z
Eu1 0.000 0.000 0.000
Cr1 0.250 0.250 0.250
Sn1 0.750 0.750 0.750
Bi1 0.500 0.500 0.500
O1 0.004 0.004 0.496
O2 0.004 0.496 0.004
O3 0.004 0.496 0.496
O4 0.496 0.004 0.004
O5 0.496 0.004 0.496
O6 0.496 0.496 0.004
```

Peak list (8 most intense, 2θ = 10–90°, sorted by position)
2θ 22.2, rel. 10; 2θ 31.5, rel. 100; 2θ 38.9, rel. 12; 2θ 45.2, rel. 29; 2θ 56.2, rel. 40; 2θ 65.8, rel. 18; 2θ 74.8, rel. 18; 2θ 83.5, rel. 6

Entry 4:
Simulated XRD peak list of Mn2OF3 for λ = 1.5418 Å (Cu Kα), from a structure optimized by DFT (PBE+U).
Intensities are scaled so that the largest is 100.

Structural model:
```
data_Mn2OF3
_chemical_formula_sum 'Mn8 O4 F12'
_cell_length_a 10.632
_cell_length_b 6.032
_cell_length_c 4.809
_cell_angle_alpha 90.00
_cell_angle_beta 90.00
_cell_angle_gamma 90.00
_space_group_name_H-M_alt 'P 1'
_space_group_IT_number 1
loop_
_space_group_symop_operation_xyz
'x,y,z'
loop_
_atom_site_label
_atom_site_fract_x
_atom_site_fract_y
_atom_site_fract_z
Mn1 0.000 0.000 0.000
Mn2 0.000 0.500 0.000
Mn3 0.218 0.250 0.456
Mn4 0.282 0.750 0.956
Mn5 0.500 0.000 0.500
Mn6 0.500 0.500 0.500
Mn7 0.718 0.250 0.044
Mn8 0.782 0.750 0.544
O1 0.067 0.250 0.194
O2 0.433 0.750 0.694
O3 0.567 0.250 0.306
O4 0.933 0.750 0.806
F1 0.102 0.750 0.203
F2 0.161 0.001 0.753
F3 0.161 0.499 0.753
F4 0.339 0.501 0.253
F5 0.339 0.999 0.253
F6 0.398 0.250 0.703
F7 0.602 0.750 0.297
F8 0.661 0.001 0.747
F9 0.661 0.499 0.747
F10 0.839 0.501 0.247
F11 0.839 0.999 0.247
F12 0.898 0.250 0.797
```

Peak list (8 most intense, 2θ = 10–90°, sorted by position)
2θ 20.3, rel. 93; 2θ 25.1, rel. 100; 2θ 31.4, rel. 70; 2θ 34.2, rel. 40; 2θ 36.2, rel. 42; 2θ 39.1, rel. 50; 2θ 51.6, rel. 72; 2θ 56.3, rel. 38